Pr4Sb6Rh7: theoretical powder diffraction line list (Cu Kα, 1.54184 Å), based on DFT lattice parameters and positions (PBE).

Atomic structure:
```
17
Lattice="-4.480 4.480 4.480 4.480 -4.480 4.480 4.480 4.480 -4.480" Properties=species:S:1:pos:R:3 pbc="T T T"
Pr 2.240 2.240 -2.240
Pr 2.240 -2.240 2.240
Pr -2.240 2.240 2.240
Pr 2.240 2.240 2.240
Sb 2.878 0.000 0.000
Sb 6.082 0.000 0.000
Sb 0.000 2.878 0.000
Sb 0.000 0.000 2.878
Sb 0.000 6.082 0.000
Sb 0.000 0.000 6.082
Rh 0.000 0.000 0.000
Rh 4.480 2.240 0.000
Rh 4.480 0.000 2.240
Rh 2.240 4.480 0.000
Rh 2.240 0.000 4.480
Rh 0.000 4.480 2.240
Rh 0.000 2.240 4.480
```

Largest 10 diffraction maxima, most intense first, 2θ from 10° to 90°:
| d_spacing | two_theta | Rel. int. |
| --- | --- | --- |
| 2.587 | 34.7 | 100.0 |
| 2.240 | 40.3 | 62.3 |
| 1.584 | 58.2 | 28.7 |
| 1.351 | 69.6 | 22.4 |
| 2.112 | 42.8 | 22.1 |
| 1.910 | 47.6 | 20.5 |
| 2.395 | 37.6 | 17.7 |
| 3.168 | 28.2 | 17.3 |
| 1.321 | 71.4 | 13.0 |
| 1.219 | 78.4 | 12.1 |